Structure and computed XRD peak list of FeCu2GeSe4 (the PBE geometry in the Materials Project; Cu Kα (weighted mean of Kα1 and Kα2)).
Lines closer than 0.1° are merged.

Most intense lines, 2θ = 10–90°, low angle first:
Position (°2θ)  intensity  (hkl)
27.48  100.0  1 1 2
45.45  24.4  2 2 0
45.74  47.8  2 0 4
53.94  29.0  3 1 2
54.45  14.0  1 1 6
66.23  7.6  4 0 0
73.56  11.1  3 1 6
84.21  15.4  4 2 4

Crystal structure
```
FeCu2GeSe4
1.0
5.6443 0.0000 0.0000
0.0000 5.6443 0.0000
0.0000 0.0000 11.1545
Fe Cu Ge Se
2 4 2 8
direct
0.0000 0.0000 0.0000 Fe
0.5000 0.5000 0.5000 Fe
0.0000 0.5000 0.2500 Cu
0.0000 0.5000 0.7500 Cu
0.5000 0.0000 0.2500 Cu
0.5000 0.0000 0.7500 Cu
0.0000 0.0000 0.5000 Ge
0.5000 0.5000 0.0000 Ge
0.2454 0.2454 0.8717 Se
0.2454 0.7546 0.1283 Se
0.2546 0.2546 0.3717 Se
0.2546 0.7454 0.6283 Se
0.7454 0.2546 0.6283 Se
0.7454 0.7454 0.3717 Se
0.7546 0.2454 0.1283 Se
0.7546 0.7546 0.8717 Se
```